The following is a calculated powder XRD pattern of NdGeH2O4. It was derived from DFT lattice parameters and positions (PBE), using Cu Kα, 1.54184 Å.

```
NdGeH2O4
1.0
5.0059 0.0000 0.0000
0.0000 6.3544 0.0000
-1.4443 0.0000 6.0182
Nd Ge H O
2 2 4 8
Cartesian
0.0145 1.5886 1.1224
3.5472 4.7658 4.8958
0.5047 1.5886 4.3372
3.0569 4.7658 1.6810
0.9026 4.7658 2.9708
2.5030 0.0000 0.0000
2.5030 3.1772 0.0000
2.6590 1.5886 3.0474
-0.5402 4.7658 2.7597
-0.0548 0.1767 5.6067
-0.0548 3.0005 5.6067
1.6639 1.5886 2.7618
1.8977 4.7658 3.2564
3.6164 3.3539 0.4115
3.6164 6.1778 0.4115
4.1018 1.5886 3.2585
```

Most intense lines, 2θ = 10–90°, in order of rising 2θ:
2θ 18.23, intensity 57; 2θ 23.02, intensity 99; 2θ 24.97, intensity 85; 2θ 28.08, intensity 93; 2θ 29.70, intensity 100; 2θ 32.93, intensity 40; 2θ 33.69, intensity 29; 2θ 34.21, intensity 90; 2θ 41.32, intensity 35; 2θ 45.64, intensity 45; 2θ 46.63, intensity 32; 2θ 53.74, intensity 27

=====

The following is a calculated powder XRD pattern of NdGeHO4. It was derived from DFT lattice parameters and positions (PBE), using Cu Kα, 1.54184 Å.

```
NdGeHO4
1.0
5.3418 0.0000 0.0000
0.0000 12.0424 0.0000
0.0000 0.0000 4.8285
Nd Ge H O
4 4 4 16
Cartesian
0.0000 1.4492 1.2071
0.0000 10.5933 3.6213
2.6709 4.5720 3.6213
2.6709 7.4704 1.2071
0.0000 4.7193 1.2071
0.0000 7.3231 3.6213
2.6709 1.3019 3.6213
2.6709 10.7405 1.2071
0.0000 3.6226 3.6213
0.0000 8.4198 1.2071
2.6709 2.3986 1.2071
2.6709 9.6438 3.6213
0.5799 3.6008 2.5315
0.5799 8.4416 0.1172
1.2839 0.5201 2.9291
1.2839 11.5224 0.5149
1.3870 5.5011 0.5149
1.3870 6.5413 2.9291
2.0910 2.4204 0.1172
2.0910 9.6220 2.5315
3.2508 2.4204 2.2970
3.2508 9.6220 4.7112
3.9548 5.5011 1.8994
3.9548 6.5413 4.3136
4.0579 0.5201 4.3136
4.0579 11.5224 1.8994
4.7619 3.6008 4.7112
4.7619 8.4416 2.2970
```

Most intense lines, 2θ = 10–90°, in order of rising 2θ:
2θ 23.62, intensity 11; 2θ 25.95, intensity 91; 2θ 29.67, intensity 28; 2θ 33.54, intensity 100; 2θ 37.24, intensity 15; 2θ 45.39, intensity 37; 2θ 48.32, intensity 21; 2θ 50.99, intensity 18; 2θ 55.53, intensity 12; 2θ 59.62, intensity 18; 2θ 59.97, intensity 16; 2θ 60.11, intensity 20

=====

The following is a calculated powder XRD pattern of NdGeH2O4. It was derived from DFT lattice parameters and positions (PBE), using Cu Kα, 1.54184 Å.

```
NdGeH2O4
1.0
0.0000 5.2139 3.4544
5.1408 0.0000 3.4544
5.1408 5.2139 0.0000
Nd Ge H O
2 2 4 8
Cartesian
0.0000 0.0000 0.0000
2.5704 2.6070 1.7272
5.1408 5.2139 3.6580
7.7113 7.8209 5.3852
7.2410 5.0642 2.4916
4.6706 2.7567 4.2188
3.0407 5.3637 2.4916
5.6111 7.6712 4.2188
8.2867 3.8908 3.1363
6.5187 5.7264 2.2230
3.9483 2.0945 3.9502
3.7629 4.7015 2.2230
5.7163 3.9301 4.8635
6.3334 8.3333 3.9502
4.5654 6.4978 4.8635
1.9950 6.5371 3.1363
```

Most intense lines, 2θ = 10–90°, in order of rising 2θ:
2θ 17.65, intensity 22; 2θ 24.31, intensity 100; 2θ 31.06, intensity 45; 2θ 31.19, intensity 47; 2θ 34.40, intensity 18; 2θ 34.91, intensity 16; 2θ 47.12, intensity 41; 2θ 47.41, intensity 39; 2θ 49.82, intensity 13; 2θ 55.84, intensity 10; 2θ 56.53, intensity 11; 2θ 59.15, intensity 16

=====

The following is a calculated powder XRD pattern of NdGeHO4. It was derived from DFT lattice parameters and positions (PBE), using Cu Kα, 1.54184 Å.

```
NdGeHO4
1.0
7.8336 0.0000 0.0000
0.0000 6.5381 0.0000
-2.9291 0.0000 6.8262
Nd Ge H O
4 4 4 16
Cartesian
1.6396 0.8246 0.7160
0.1751 2.4444 4.1291
4.7294 4.0936 2.6971
3.2649 5.7135 6.1102
1.4698 4.1070 0.9859
0.0053 5.7001 4.3990
4.8993 0.8380 2.4272
3.4347 2.4310 5.8403
0.1942 3.8701 6.2153
1.6587 5.9370 2.8022
3.2458 0.6011 4.0240
4.7104 2.6680 0.6109
-1.0924 4.5429 3.7223
0.3721 5.2642 0.3092
-0.5265 0.5071 5.3684
0.9380 2.7620 1.9553
0.8804 0.0280 3.0405
-0.5842 3.2410 6.4536
1.1898 4.6706 5.2077
2.6543 5.1364 1.7946
2.2502 1.4016 5.0316
3.7148 1.8674 1.6185
5.4887 3.2971 0.3726
4.0242 6.5100 3.7857
3.9665 3.7761 4.8709
5.4311 6.0310 1.4578
4.5324 1.2739 6.5170
5.9969 1.9951 3.1039
```

Most intense lines, 2θ = 10–90°, in order of rising 2θ:
2θ 24.05, intensity 99; 2θ 24.73, intensity 100; 2θ 30.31, intensity 34; 2θ 30.75, intensity 52; 2θ 33.19, intensity 27; 2θ 34.79, intensity 44; 2θ 35.94, intensity 29; 2θ 36.29, intensity 19; 2θ 42.83, intensity 18; 2θ 44.43, intensity 21; 2θ 47.01, intensity 17; 2θ 48.76, intensity 18

=====

The following is a calculated powder XRD pattern of NdGeHO4. It was derived from DFT lattice parameters and positions (PBE), using Cu Kα, 1.54184 Å.

```
NdGeHO4
1.0
7.9634 0.0000 0.0000
0.0000 6.8063 0.0000
-2.6171 0.0000 6.6152
Nd Ge H O
4 4 4 16
Cartesian
1.4265 0.9228 0.7499
0.1180 2.4803 4.0575
5.2282 4.3260 2.5577
3.9197 5.8835 5.8653
1.5745 4.1480 0.8675
0.2659 6.0615 4.1751
5.0803 0.7449 2.4401
3.7717 2.6583 5.7477
1.2609 4.6117 5.8015
2.5695 5.5979 2.4939
2.7767 1.2085 4.1213
4.0853 2.1947 0.8137
-0.7117 4.7204 3.6505
0.5968 5.4891 0.3429
-0.4711 0.4710 5.1875
0.8375 2.9321 1.8799
1.0976 0.2141 2.9650
-0.2109 3.1890 6.2726
2.9200 4.9467 1.8362
1.6115 5.2628 5.1438
3.7347 1.5435 1.4714
2.4262 1.8597 4.7790
5.5572 3.6173 0.3425
4.2486 6.5922 3.6501
4.5088 3.8742 4.7353
5.8173 6.3353 1.4277
4.7494 1.3172 6.2723
6.0580 2.0860 2.9647
```

Most intense lines, 2θ = 10–90°, in order of rising 2θ:
2θ 17.70, intensity 27; 2θ 24.04, intensity 100; 2θ 25.13, intensity 100; 2θ 29.52, intensity 49; 2θ 29.97, intensity 53; 2θ 33.49, intensity 30; 2θ 33.83, intensity 46; 2θ 34.99, intensity 50; 2θ 49.23, intensity 28; 2θ 51.57, intensity 37; 2θ 51.78, intensity 28; 2θ 53.50, intensity 24

=====

The following is a calculated powder XRD pattern of PrNiGeH2. It was derived from DFT lattice parameters and positions (PBE), using Cu Kα, 1.54184 Å.

```
PrNiGeH2
1.0
8.3931 0.0000 0.0000
0.0000 4.1920 0.0000
0.0000 0.0000 7.2540
Pr Ni Ge H
4 4 4 8
Cartesian
0.0000 1.0480 1.8126
0.0000 3.1440 5.4414
4.1965 1.0480 1.8144
4.1965 3.1440 5.4396
2.0933 1.0480 4.2297
2.1032 3.1440 0.6027
6.2899 1.0480 6.6513
6.2997 3.1440 3.0243
2.0990 1.0480 6.6490
2.0976 3.1440 3.0220
6.2955 1.0480 4.2321
6.2941 3.1440 0.6051
0.4974 1.0480 4.2327
0.5095 3.1440 0.6054
3.6870 1.0480 4.2324
3.6992 3.1440 0.6057
4.6939 1.0480 6.6484
4.7060 3.1440 3.0217
7.8836 1.0480 6.6487
7.8957 3.1440 3.0213
```

Most intense lines, 2θ = 10–90°, in order of rising 2θ:
2θ 24.53, intensity 11; 2θ 32.62, intensity 100; 2θ 43.16, intensity 55; 2θ 50.25, intensity 5; 2θ 55.15, intensity 22; 2θ 62.66, intensity 26; 2θ 68.38, intensity 3; 2θ 72.43, intensity 16; 2θ 72.52, intensity 13; 2θ 79.19, intensity 7; 2θ 84.37, intensity 2; 2θ 88.20, intensity 6

=====

> What is the formula in the second record?

NdGeHO4